1.
# Na4Ga3Si3BH4O12
Calculated powder XRD pattern, Cu Kα. Input: a structure optimized by DFT (PBE).

Main lines, low angle first (15 to 90 degrees two-theta):
- 21.98 deg, d 4.043, intensity 25.9
- 24.11 deg, d 3.691, intensity 100.0
- 31.29 deg, d 2.859, intensity 35.2
- 34.36 deg, d 2.610, intensity 56.2
- 37.21 deg, d 2.416, intensity 30.7
- 42.42 deg, d 2.131, intensity 18.2
- 57.68 deg, d 1.598, intensity 26.9
- 59.63 deg, d 1.550, intensity 17.4
- 63.42 deg, d 1.467, intensity 13.7
- 68.89 deg, d 1.363, intensity 16.2

```
54
Lattice="9.041 0.000 0.000 0.000 9.041 0.000 0.000 0.000 9.041" Properties=species:S:1:pos:R:3 pbc="T T T"
Na 1.556 1.556 1.556
Na 1.556 7.485 7.485
Na 2.964 2.964 6.076
Na 2.964 6.076 2.964
Na 6.076 2.964 2.964
Na 6.076 6.076 6.076
Na 7.485 1.556 7.485
Na 7.485 7.485 1.556
Ga 0.000 2.260 4.520
Ga 0.000 6.781 4.520
Ga 2.260 4.520 0.000
Ga 4.520 0.000 2.260
Ga 4.520 0.000 6.781
Ga 6.781 4.520 0.000
Si 0.000 4.520 2.260
Si 0.000 4.520 6.781
Si 2.260 0.000 4.520
Si 4.520 2.260 0.000
Si 4.520 6.781 0.000
Si 6.781 0.000 4.520
B 0.000 0.000 0.000
B 4.520 4.520 4.520
H 0.710 0.710 8.331
H 0.710 8.331 0.710
H 3.811 3.811 3.811
H 3.811 5.230 5.230
H 5.230 3.811 5.230
H 5.230 5.230 3.811
H 8.331 0.710 0.710
H 8.331 8.331 8.331
O 0.665 3.309 5.887
O 0.665 5.732 3.153
O 1.211 3.855 1.367
O 1.211 5.186 7.674
O 1.367 1.211 3.855
O 1.367 7.829 5.186
O 3.153 0.665 5.732
O 3.153 8.375 3.309
O 3.309 3.153 8.375
O 3.309 5.887 0.665
O 3.855 1.367 1.211
O 3.855 7.674 7.829
O 5.186 1.367 7.829
O 5.186 7.674 1.211
O 5.732 3.153 0.665
O 5.732 5.887 8.375
O 5.887 0.665 3.309
O 5.887 8.375 5.732
O 7.674 1.211 5.186
O 7.674 7.829 3.855
O 7.829 3.855 7.674
O 7.829 5.186 1.367
O 8.375 3.309 3.153
O 8.375 5.732 5.887
```

2.
# RbGaBP2HO9
Calculated powder XRD pattern, Cu Kα. Input: a structure optimized by DFT (PBE).

Main lines, low angle first (15 to 90 degrees two-theta):
- 19.26 deg, d 4.608, intensity 25.7
- 21.53 deg, d 4.127, intensity 27.8
- 23.70 deg, d 3.754, intensity 39.7
- 23.98 deg, d 3.710, intensity 21.2
- 25.69 deg, d 3.467, intensity 100.0
- 29.75 deg, d 3.003, intensity 45.4
- 30.32 deg, d 2.948, intensity 25.4
- 31.48 deg, d 2.842, intensity 40.4
- 32.66 deg, d 2.742, intensity 23.3
- 39.70 deg, d 2.270, intensity 20.6

```
60
Lattice="9.468 0.000 0.000 0.000 8.536 0.000 -2.222 0.000 9.430" Properties=species:S:1:pos:R:3 pbc="T T T"
Rb 1.676 0.914 0.592
Rb 0.565 3.354 5.307
Rb 6.681 5.182 4.123
Rb 5.569 7.622 8.839
Ga -0.163 5.604 8.803
Ga 0.948 7.199 4.088
Ga 6.297 1.336 5.343
Ga 7.409 2.931 0.627
B 1.636 0.435 6.573
B 2.747 3.833 1.858
B 4.499 4.703 7.573
B 5.610 8.101 2.857
P 0.225 4.812 1.956
P -0.886 7.992 6.671
P 2.340 6.272 6.798
P 3.451 6.531 2.083
P 3.794 2.005 7.348
P 4.905 2.263 2.633
P 8.132 0.544 2.759
P 7.021 3.724 7.474
H 2.616 0.560 4.730
H 3.727 3.708 0.015
H 3.518 4.828 9.416
H 4.630 7.976 4.700
O -1.076 4.399 7.580
O 0.036 8.404 2.865
O 0.594 5.651 0.723
O -0.517 7.153 5.438
O 0.177 5.622 3.268
O -0.934 7.182 7.984
O 0.207 0.598 6.879
O 1.318 3.670 2.164
O 1.727 0.369 5.079
O 2.838 3.899 0.364
O 1.467 5.377 7.680
O 2.578 7.427 2.965
O 2.067 6.086 5.306
O 3.179 6.718 0.590
O 3.347 5.023 2.502
O 2.236 7.780 7.217
O 2.284 1.660 7.065
O 3.395 2.608 2.350
O 3.851 5.928 7.081
O 4.962 6.876 2.366
O 5.009 0.755 2.213
O 3.898 3.513 6.928
O 4.067 1.818 8.840
O 5.178 2.450 4.125
O 4.668 1.109 6.465
O 5.779 3.159 1.750
O 4.408 4.637 9.066
O 5.519 8.166 4.351
O 5.928 4.865 7.266
O 7.039 7.938 2.551
O 8.179 1.354 1.447
O 7.068 2.914 6.162
O 7.763 1.383 3.992
O 6.651 2.885 8.707
O 7.210 0.131 6.565
O 8.321 4.137 1.850
```

3.
# RbLi2Ga2B3O9
Calculated powder XRD pattern, Cu Kα. Input: a structure optimized by DFT (PBE).

Main lines, low angle first (15 to 90 degrees two-theta):
- 19.85 deg, d 4.472, intensity 32.0
- 23.24 deg, d 3.827, intensity 82.6
- 27.27 deg, d 3.270, intensity 90.7
- 30.15 deg, d 2.964, intensity 100.0
- 31.09 deg, d 2.876, intensity 31.3
- 31.45 deg, d 2.845, intensity 41.1
- 35.84 deg, d 2.505, intensity 28.5
- 36.36 deg, d 2.471, intensity 26.4
- 47.54 deg, d 1.912, intensity 23.7
- 64.75 deg, d 1.440, intensity 21.0

```
34
Lattice="6.503 0.000 0.000 0.000 5.011 0.000 -0.659 0.000 12.945" Properties=species:S:1:pos:R:3 pbc="T T T"
Rb -0.165 1.061 3.236
Rb -0.494 3.950 9.709
Li 2.989 0.853 4.749
Li 2.660 4.158 11.221
Li 3.184 0.853 1.724
Li 2.855 4.158 8.196
Ga 1.152 1.575 7.299
Ga 1.481 3.436 0.827
Ga 4.363 1.575 12.118
Ga 4.692 3.436 5.646
B 0.608 0.915 12.416
B 0.938 4.096 5.944
B 2.757 1.686 9.709
B 3.087 3.325 3.236
B 4.906 0.915 7.001
B 5.236 4.096 0.529
O -0.354 1.456 11.590
O -0.024 3.555 5.118
O 1.298 0.433 5.818
O 0.968 4.578 12.290
O 1.912 1.671 0.440
O 1.583 3.340 6.912
O 2.168 0.905 8.689
O 2.498 4.106 2.217
O 3.087 1.985 3.236
O 2.757 3.026 9.709
O 3.347 0.905 10.728
O 3.676 4.106 4.256
O 4.261 1.671 6.033
O 3.932 3.340 12.505
O 4.876 0.433 0.655
O 4.546 4.578 7.127
O 5.869 1.456 7.827
O 6.198 3.555 1.355
```

4.
# Mg6GaB
Calculated powder XRD pattern, Cu Kα. Input: a structure optimized by DFT (PBE).

Main lines, low angle first (15 to 90 degrees two-theta):
- 18.52 deg, d 4.791, intensity 21.5
- 26.36 deg, d 3.381, intensity 13.2
- 30.11 deg, d 2.968, intensity 10.6
- 31.37 deg, d 2.851, intensity 13.2
- 34.76 deg, d 2.581, intensity 14.2
- 36.68 deg, d 2.450, intensity 100.0
- 37.57 deg, d 2.394, intensity 53.6
- 41.50 deg, d 2.176, intensity 15.2
- 44.81 deg, d 2.022, intensity 20.1
- 77.26 deg, d 1.235, intensity 17.9

```
8
Lattice="4.045 0.000 0.000 0.000 4.020 4.791 0.000 -4.020 4.791" Properties=species:S:1:pos:R:3 pbc="T T T"
Mg 0.000 0.000 0.000
Mg 0.000 -1.456 7.076
Mg 0.000 1.456 7.076
Mg 2.022 0.000 2.175
Mg 2.022 -1.834 4.624
Mg 2.022 1.834 4.624
Ga 0.000 0.000 4.148
B 2.022 0.000 8.174
```

5.
# Mg14GaB
Calculated powder XRD pattern, Cu Kα. Input: a structure optimized by DFT (PBE).

Main lines, low angle first (15 to 90 degrees two-theta):
- 18.72 deg, d 4.741, intensity 15.8
- 30.16 deg, d 2.963, intensity 5.8
- 33.39 deg, d 2.684, intensity 24.3
- 35.51 deg, d 2.528, intensity 26.7
- 37.96 deg, d 2.371, intensity 100.0
- 49.53 deg, d 1.840, intensity 15.2
- 59.67 deg, d 1.549, intensity 16.6
- 65.38 deg, d 1.427, intensity 18.6
- 71.40 deg, d 1.321, intensity 18.6
- 72.94 deg, d 1.297, intensity 13.5

```
16
Lattice="6.198 0.000 0.000 -3.099 5.368 0.000 0.000 0.000 10.113" Properties=species:S:1:pos:R:3 pbc="T T T"
Mg 0.000 0.000 2.520
Mg 0.000 0.000 7.593
Mg -1.505 2.709 2.593
Mg -1.505 2.709 7.520
Mg 1.541 0.890 5.057
Mg 1.555 0.898 0.000
Mg 1.505 2.709 2.593
Mg 1.505 2.709 7.520
Mg 0.000 5.316 2.593
Mg 0.000 5.316 7.520
Mg 4.643 0.898 0.000
Mg 3.099 3.572 0.000
Mg 4.657 0.890 5.057
Mg 3.099 3.588 5.057
Ga 0.000 3.578 0.000
B 0.000 3.578 5.057
```